Structure and simulated powder XRD pattern of LaDyAsO (a PBE-relaxed structure; a wavelength of 1.5418 Å).

Structural model:
a = 4.190 Å, b = 6.176 Å, c = 7.361 Å
α = 90.00°, β = 90.00°, γ = 90.00°
Fractional coordinates of all 8 atoms:
La 0.000 0.080 0.000
La 0.000 0.920 0.500
Dy 0.500 0.370 0.339
Dy 0.500 0.630 0.839
As 0.500 0.189 0.704
As 0.500 0.811 0.204
O 0.000 0.256 0.298
O 0.000 0.744 0.798

Top 10 peaks for 2θ = 10–80°, by intensity:
- hkl 1 0 2, 32.38 deg, d = 2.765 Å, intensity 100.0
- hkl 0 2 1, 31.41 deg, d = 2.848 Å, intensity 100.0
- hkl 1 1 0, 25.69 deg, d = 3.467 Å, intensity 96.3
- hkl 1 1 1, 28.46 deg, d = 3.137 Å, intensity 75.9
- hkl 0 1 2, 28.22 deg, d = 3.162 Å, intensity 64.6
- hkl 1 2 1, 38.21 deg, d = 2.355 Å, intensity 62.2
- hkl 1 2 3, 52.39 deg, d = 1.746 Å, intensity 60.6
- hkl 2 2 1, 54.39 deg, d = 1.687 Å, intensity 56.1
- hkl 0 1 3, 39.52 deg, d = 2.280 Å, intensity 49.6
- hkl 1 1 2, 35.57 deg, d = 2.524 Å, intensity 45.8